[1]
The following is a theoretical PXRD pattern of Eu2HoTaO6. It was derived from a cell relaxed with GGA-PBE, using Cu Kα.
Lines closer than 0.1° are merged.

Cell and atoms:
Lattice parameters (Å, degrees): 5.793 5.902 10.070 90.00 125.00 90.00
Space group P2_1/c (No. 14)
Inequivalent atoms, fractional coordinates:
Eu: 0.238 0.043 0.251 x4
Ho: 0.500 0.000 0.000 x2
Ta: 0.000 0.000 0.500 x2
O: 0.140 0.222 0.948 x4
O: 0.231 0.696 0.953 x4
O: 0.328 0.028 0.735 x4

Principal peaks in the range 2θ from 5° to 70°, by intensity:
hkl  d/Å  Position (°2θ)  intensity
1 1 -3  2.920  30.62  100
3 1 -5  1.677  54.74  27
2 0 -2  2.896  30.87  24
0 2 0  2.951  30.29  23
2 2 -2  2.067  43.80  22
1 3 -3  1.698  54.02  16
0 0 4  2.062  43.91  12
0 2 4  1.690  54.27  10
2 2 2  1.461  63.70  7
2 2 -6  1.459  63.80  7

***

[2]
The following is a theoretical PXRD pattern of WBr5. It was derived from a cell relaxed with GGA-PBE, using Cu Kα.
Lines closer than 0.1° are merged.

Cell and atoms:
Lattice parameters (Å, degrees): 6.894 7.440 9.984 109.82 90.85 116.20
Space group P-1 (No. 2)
Inequivalent atoms, fractional coordinates:
W: 0.102 0.211 0.214 x2
Br: 0.063 0.813 0.574 x2
Br: 0.113 0.632 0.851 x2
Br: 0.231 0.178 0.958 x2
Br: 0.294 0.013 0.242 x2
Br: 0.427 0.563 0.334 x2

Principal peaks in the range 2θ from 5° to 70°, by intensity:
hkl  d/Å  Position (°2θ)  intensity
1 1 1  2.999  29.79  100
0 1 -1  6.381  13.88  76
1 0 -3  2.984  29.94  52
1 0 0  6.067  14.60  45
3 -1 2  1.973  45.99  36
1 -1 0  5.964  14.85  34
1 0 -1  5.592  15.85  33
1 1 -4  2.323  38.77  29
1 -1 1  5.480  16.17  26
2 -3 2  2.313  38.95  24

***

[3]
The following is a theoretical PXRD pattern of TiSiO4. It was derived from a cell relaxed with GGA-PBE, using Cu Kα.
Lines closer than 0.1° are merged.

Cell and atoms:
Lattice parameters (Å, degrees): 5.350 8.078 6.278 90.00 90.00 90.00
Space group Cmcm (No. 63)
Inequivalent atoms, fractional coordinates:
Ti: 0.000 0.000 0.000 x4
Si: 0.000 0.347 0.250 x4
O: 0.000 0.228 0.043 x8
O: 0.248 0.031 0.750 x8

Principal peaks in the range 2θ from 5° to 70°, by intensity:
hkl  d/Å  Position (°2θ)  intensity
1 1 2  2.567  34.95  100
1 1 1  3.636  24.48  64
1 1 0  4.461  19.90  63
2 4 2  1.434  65.05  37
2 0 0  2.675  33.50  36
0 2 1  3.397  26.24  35
1 3 0  2.405  37.39  35
2 0 2  2.036  44.50  31
2 2 2  1.818  50.18  26
0 2 0  4.039  22.01  25

***

[4]
The following is a theoretical PXRD pattern of Tm3Sn. It was derived from a cell relaxed with GGA-PBE, using Cu Kα.
Lines closer than 0.1° are merged.

Cell and atoms:
Lattice parameters (Å, degrees): 6.7554 6.7554 5.4880 90.00 90.00 120.00
Space group P6_3/mmc (No. 194)
Inequivalent atoms, fractional coordinates:
Tm: 0.1696 0.3392 0.2500 x6
Sn: 0.3333 0.6667 0.7500 x2

Principal peaks in the range 2θ from 5° to 70°, by intensity:
hkl  d/Å  Position (°2θ)  intensity
2 0 1  2.581  34.75  100
0 0 2  2.744  32.63  26
2 0 0  2.925  30.56  23
2 2 2  1.438  64.82  22
2 0 3  1.551  59.61  21
2 2 0  1.689  54.32  19
2 0 2  2.001  45.31  16
4 0 1  1.413  66.12  16
0 0 4  1.372  68.37  3
4 0 0  1.463  63.62  3

***

[5]
The following is a theoretical PXRD pattern of YGaRh2. It was derived from a cell relaxed with GGA-PBE, using Cu Kα.
Lines closer than 0.1° are merged.

Cell and atoms:
Lattice parameters (Å, degrees): 6.464 6.464 6.464 90.00 90.00 90.00
Space group Fm-3m (No. 225)
Inequivalent atoms, fractional coordinates:
Y: 0.000 0.000 0.000 x4
Ga: 0.000 0.000 0.500 x4
Rh: 0.250 0.250 0.250 x8

Principal peaks in the range 2θ from 5° to 70°, by intensity:
hkl  d/Å  Position (°2θ)  intensity
2 2 0  2.286  39.43  100
4 0 0  1.616  56.98  17
2 0 0  3.232  27.60  2
4 2 0  1.445  64.46  1
1 1 1  3.732  23.84  1
2 2 2  1.866  48.80  1

***

[6]
The following is a theoretical PXRD pattern of Sr2Ir. It was derived from a cell relaxed with GGA-PBE, using Cu Kα.
Lines closer than 0.1° are merged.

Cell and atoms:
Lattice parameters (Å, degrees): 7.278 7.278 7.278 90.00 90.00 90.00
Space group Fm-3m (No. 225)
Inequivalent atoms, fractional coordinates:
Sr: 0.250 0.250 0.250 x8
Ir: 0.000 0.000 0.000 x4

Principal peaks in the range 2θ from 5° to 70°, by intensity:
hkl  d/Å  Position (°2θ)  intensity
2 2 0  2.573  34.87  100
1 1 1  4.202  21.14  62
4 2 2  1.486  62.52  37
3 1 1  2.195  41.13  34
4 0 0  1.820  50.13  18
3 3 1  1.670  54.99  15
5 1 1  1.401  66.79  11

***

[7]
The following is a theoretical PXRD pattern of Li2InP2HO8. It was derived from a cell relaxed with GGA-PBE, using Cu Kα.
Lines closer than 0.1° are merged.

Cell and atoms:
Lattice parameters (Å, degrees): 4.893 8.368 7.847 90.00 103.27 90.00
Space group P2_1 (No. 4)
Inequivalent atoms, fractional coordinates:
Li: 0.135 0.000 0.094 x2
Li: 0.357 0.732 0.412 x2
In: 0.250 0.367 0.255 x2
P: 0.110 0.018 0.475 x2
P: 0.384 0.712 0.017 x2
H: 0.296 0.353 0.764 x2
O: 0.018 0.436 0.702 x2
O: 0.112 0.548 0.414 x2
O: 0.159 0.830 0.920 x2
O: 0.247 0.179 0.444 x2
O: 0.254 0.553 0.057 x2
O: 0.338 0.904 0.580 x2
O: 0.384 0.187 0.084 x2
O: 0.492 0.296 0.798 x2

Principal peaks in the range 2θ from 5° to 70°, by intensity:
hkl  d/Å  Position (°2θ)  intensity
0 1 1  5.641  15.71  100
1 1 -2  3.137  28.45  86
1 0 1  3.677  24.20  82
0 2 2  2.821  31.72  49
1 1 0  4.139  21.47  33
1 2 -1  3.075  29.04  31
0 2 0  4.184  21.24  24
2 1 1  2.071  43.71  24
2 1 -1  2.340  38.46  20
1 2 3  1.846  49.36  20

***

[8]
The following is a theoretical PXRD pattern of RbFeCl3. It was derived from a cell relaxed with GGA-PBE, using Cu Kα.
Lines closer than 0.1° are merged.

Cell and atoms:
Lattice parameters (Å, degrees): 6.9797 6.9797 5.8728 90.00 90.00 120.00
Space group P6_3/mmc (No. 194)
Inequivalent atoms, fractional coordinates:
Rb: 0.3333 0.6667 0.2500 x2
Fe: 0.0000 0.0000 0.0000 x2
Cl: 0.1490 0.2980 0.7500 x6

Principal peaks in the range 2θ from 5° to 70°, by intensity:
hkl  d/Å  Position (°2θ)  intensity
2 0 1  2.687  33.34  100
1 1 0  3.490  25.52  48
2 0 2  2.106  42.94  41
1 0 0  6.045  14.65  38
1 0 1  4.212  21.09  30
2 1 2  1.803  50.62  27
2 2 0  1.745  52.44  26
2 0 3  1.643  55.97  20
1 0 2  2.641  33.94  18
0 0 2  2.936  30.44  15

***

[9]
The following is a theoretical PXRD pattern of Hf2OsRu. It was derived from a cell relaxed with GGA-PBE, using Cu Kα.
Lines closer than 0.1° are merged.

Cell and atoms:
Lattice parameters (Å, degrees): 6.511 6.511 6.511 90.00 90.00 90.00
Space group Fm-3m (No. 225)
Inequivalent atoms, fractional coordinates:
Hf: 0.250 0.250 0.250 x8
Os: 0.000 0.000 0.000 x4
Ru: 0.000 0.000 0.500 x4

Principal peaks in the range 2θ from 5° to 70°, by intensity:
hkl  d/Å  Position (°2θ)  intensity
2 2 0  2.302  39.13  100
4 0 0  1.628  56.54  17
1 1 1  3.759  23.67  4
3 1 1  1.963  46.24  2
2 0 0  3.256  27.40  1
3 3 1  1.494  62.14  1

***

[10]
The following is a theoretical PXRD pattern of SiO2. It was derived from a cell relaxed with GGA-PBE, using Cu Kα.
Lines closer than 0.1° are merged.

Cell and atoms:
Lattice parameters (Å, degrees): 7.123 4.719 9.775 90.00 90.00 90.00
Space group Pcca (No. 54)
Inequivalent atoms, fractional coordinates:
Si: 0.076 0.227 0.102 x8
O: 0.000 0.000 0.000 x4
O: 0.000 0.337 0.250 x4
O: 0.000 0.500 0.000 x4
O: 0.250 0.000 0.161 x4

Principal peaks in the range 2θ from 5° to 70°, by intensity:
hkl  d/Å  Position (°2θ)  intensity
1 1 1  3.650  24.39  100
1 0 2  4.030  22.06  54
2 0 0  3.561  25.00  53
2 1 1  2.730  32.81  29
0 0 2  4.887  18.15  18
1 1 3  2.509  35.78  18
3 2 2  1.583  58.27  16
2 0 2  2.878  31.07  14
1 1 2  3.065  29.14  11
2 2 4  1.532  60.41  11

***

[11]
The following is a theoretical PXRD pattern of Er2AlCu. It was derived from a cell relaxed with GGA-PBE, using Cu Kα.
Lines closer than 0.1° are merged.

Cell and atoms:
Lattice parameters (Å, degrees): 3.402 3.402 7.469 90.00 90.00 90.00
Space group P4/mmm (No. 123)
Inequivalent atoms, fractional coordinates:
Er: 0.000 0.000 0.237 x2
Al: 0.500 0.500 0.500 x1
Cu: 0.500 0.500 0.000 x1

Principal peaks in the range 2θ from 5° to 70°, by intensity:
hkl  d/Å  Position (°2θ)  intensity
1 0 2  2.515  35.70  100
1 1 0  2.405  37.38  45
1 0 0  3.402  26.20  34
2 1 2  1.409  66.34  32
0 0 2  3.735  23.83  20
1 1 4  1.475  63.02  18
1 1 2  2.022  44.82  16
2 0 0  1.701  53.90  16
0 0 4  1.867  48.77  10
0 0 1  7.469  11.85  9

***

[12]
The following is a theoretical PXRD pattern of Gd2CuO4. It was derived from a cell relaxed with GGA-PBE, using Cu Kα.
Lines closer than 0.1° are merged.

Cell and atoms:
Lattice parameters (Å, degrees): 6.557 5.519 5.524 90.00 113.56 90.00
Space group P2_1/c (No. 14)
Inequivalent atoms, fractional coordinates:
Gd: 0.197 0.003 0.343 x4
Cu: 0.500 0.000 0.000 x2
O: 0.003 0.749 0.496 x4
O: 0.495 0.227 0.725 x4

Principal peaks in the range 2θ from 5° to 70°, by intensity:
hkl  d/Å  Position (°2θ)  intensity
1 1 1  2.820  31.73  100
2 1 -1  2.773  32.28  93
0 2 0  2.760  32.43  68
1 2 -2  1.952  46.53  48
1 3 1  1.604  57.44  25
1 1 -1  3.695  24.08  21
0 1 3  1.614  57.06  19
2 3 -1  1.596  57.77  17
2 2 0  2.033  44.58  17
3 1 -3  1.588  58.09  17

***

Please write out number 10 again, unchanged.
The following is a theoretical PXRD pattern of SiO2. It was derived from a cell relaxed with GGA-PBE, using Cu Kα.
Lines closer than 0.1° are merged.

Cell and atoms:
Lattice parameters (Å, degrees): 7.123 4.719 9.775 90.00 90.00 90.00
Space group Pcca (No. 54)
Inequivalent atoms, fractional coordinates:
Si: 0.076 0.227 0.102 x8
O: 0.000 0.000 0.000 x4
O: 0.000 0.337 0.250 x4
O: 0.000 0.500 0.000 x4
O: 0.250 0.000 0.161 x4

Principal peaks in the range 2θ from 5° to 70°, by intensity:
hkl  d/Å  Position (°2θ)  intensity
1 1 1  3.650  24.39  100
1 0 2  4.030  22.06  54
2 0 0  3.561  25.00  53
2 1 1  2.730  32.81  29
0 0 2  4.887  18.15  18
1 1 3  2.509  35.78  18
3 2 2  1.583  58.27  16
2 0 2  2.878  31.07  14
1 1 2  3.065  29.14  11
2 2 4  1.532  60.41  11

***

What did the eighth record say?
The following is a theoretical PXRD pattern of RbFeCl3. It was derived from a cell relaxed with GGA-PBE, using Cu Kα.
Lines closer than 0.1° are merged.

Cell and atoms:
Lattice parameters (Å, degrees): 6.9797 6.9797 5.8728 90.00 90.00 120.00
Space group P6_3/mmc (No. 194)
Inequivalent atoms, fractional coordinates:
Rb: 0.3333 0.6667 0.2500 x2
Fe: 0.0000 0.0000 0.0000 x2
Cl: 0.1490 0.2980 0.7500 x6

Principal peaks in the range 2θ from 5° to 70°, by intensity:
hkl  d/Å  Position (°2θ)  intensity
2 0 1  2.687  33.34  100
1 1 0  3.490  25.52  48
2 0 2  2.106  42.94  41
1 0 0  6.045  14.65  38
1 0 1  4.212  21.09  30
2 1 2  1.803  50.62  27
2 2 0  1.745  52.44  26
2 0 3  1.643  55.97  20
1 0 2  2.641  33.94  18
0 0 2  2.936  30.44  15